[1]
For TeMoSe, a structure optimized by DFT (PBE) gives the theoretical XRD peak list in this record (Cu Kα (λ = 1.5418 Å)).
Kinematic intensities with the Lorentz-polarization factor, no thermal factor.

The 10 most intense peaks (2θ = 15–90°), low angle first:
two_theta	Rel. int.
30.0	43
32.6	14
35.6	100
44.0	62
51.3	12
53.3	34
65.7	16
71.5	14
77.1	21
89.5	15

Cell and atoms:
Cell lengths 3.4393, 3.4393, 14.2448 Å; angles 90.00, 90.00, 120.00 degrees
Positions (direct):
Te 0.3333 0.6667 0.3748
Te 0.6667 0.3333 0.6252
Mo 0.3333 0.6667 0.7563
Mo 0.6667 0.3333 0.2437
Se 0.3333 0.6667 0.1302
Se 0.6667 0.3333 0.8698



[2]
For TeMoSe, a structure optimized by DFT (PBE) gives the theoretical XRD peak list in this record (Cu Kα (λ = 1.5418 Å)).
Kinematic intensities with the Lorentz-polarization factor, no thermal factor.

The 10 most intense peaks (2θ = 15–90°), low angle first:
two_theta	Rel. int.
30.0	47
30.2	41
33.5	20
35.3	100
37.5	48
42.5	75
45.3	25
53.3	34
53.4	21
75.0	19

Cell and atoms:
Cell lengths 3.4386, 3.4386, 24.3653 Å; angles 90.00, 90.00, 120.00 degrees
Positions (direct):
Te 0.0000 0.0000 0.0000
Te 0.0000 0.0000 0.1524
Mo 0.0000 0.0000 0.7752
Mo 0.3333 0.6667 0.0762
Se 0.3333 0.6667 0.7081
Se 0.3333 0.6667 0.8425



[3]
For Te4MoW3Se4, a structure optimized by DFT (PBE) gives the theoretical XRD peak list in this record (Cu Kα (λ = 1.5418 Å)).
Kinematic intensities with the Lorentz-polarization factor, no thermal factor.

The 10 most intense peaks (2θ = 15–90°), low angle first:
two_theta	Rel. int.
30.0	47
32.1	18
35.3	100
37.9	14
42.7	62
44.4	19
53.3	37
65.5	16
75.1	17
89.3	15

Cell and atoms:
Cell lengths 3.4398, 3.4398, 39.1653 Å; angles 90.00, 90.00, 120.00 degrees
Positions (direct):
Te 0.0000 0.0000 0.0000
Te 0.0000 0.0000 0.0952
Te 0.0000 0.0000 0.3757
Te 0.0000 0.0000 0.4710
Mo 0.0000 0.0000 0.2355
W 0.0000 0.0000 0.8597
W 0.3333 0.6667 0.0476
W 0.3333 0.6667 0.4234
Se 0.3333 0.6667 0.1937
Se 0.3333 0.6667 0.2772
Se 0.3333 0.6667 0.8179
Se 0.3333 0.6667 0.9016



[4]
For Te3MoWSe, a structure optimized by DFT (PBE) gives the theoretical XRD peak list in this record (Cu Kα (λ = 1.5418 Å)).
Kinematic intensities with the Lorentz-polarization factor, no thermal factor.

The 10 most intense peaks (2θ = 15–90°), low angle first:
two_theta	Rel. int.
29.5	54
34.7	100
36.0	18
42.0	65
43.8	21
52.3	42
64.3	17
69.2	15
73.9	20
87.4	15

Cell and atoms:
Cell lengths 3.5003, 3.5003, 39.6083 Å; angles 90.00, 90.00, 120.00 degrees
Positions (direct):
Te 0.0000 0.0000 0.0000
Te 0.0000 0.0000 0.0924
Te 0.0000 0.0000 0.3755
Te 0.0000 0.0000 0.4685
Te 0.3333 0.6667 0.1876
Te 0.3333 0.6667 0.2806
Mo 0.0000 0.0000 0.8584
Mo 0.3333 0.6667 0.0462
W 0.0000 0.0000 0.2341
W 0.3333 0.6667 0.4220
Se 0.3333 0.6667 0.8175
Se 0.3333 0.6667 0.8992



[5]
For Te4MoW3Se4, a structure optimized by DFT (PBE) gives the theoretical XRD peak list in this record (Cu Kα (λ = 1.5418 Å)).
Kinematic intensities with the Lorentz-polarization factor, no thermal factor.

The 10 most intense peaks (2θ = 15–90°), low angle first:
two_theta	Rel. int.
30.0	50
32.2	17
35.3	100
42.7	63
44.4	20
53.3	37
65.6	16
70.6	14
75.1	18
89.4	15

Cell and atoms:
Cell lengths 3.4367, 3.4367, 39.2136 Å; angles 90.00, 90.00, 120.00 degrees
Positions (direct):
Te 0.0000 0.0000 0.0000
Te 0.0000 0.0000 0.0952
Te 0.3333 0.6667 0.8123
Te 0.3333 0.6667 0.9070
Mo 0.0000 0.0000 0.8597
W 0.0000 0.0000 0.4840
W 0.3333 0.6667 0.0477
W 0.3333 0.6667 0.6719
Se 0.0000 0.0000 0.6299
Se 0.0000 0.0000 0.7137
Se 0.3333 0.6667 0.4421
Se 0.3333 0.6667 0.5258



[6]
For Te4MoW3Se4, a structure optimized by DFT (PBE) gives the theoretical XRD peak list in this record (Cu Kα (λ = 1.5418 Å)).
Kinematic intensities with the Lorentz-polarization factor, no thermal factor.

The 10 most intense peaks (2θ = 15–90°), low angle first:
two_theta	Rel. int.
30.0	48
32.1	17
35.3	100
42.7	63
44.4	19
53.3	38
65.5	16
70.5	14
75.1	17
89.3	15

Cell and atoms:
Cell lengths 3.4397, 3.4397, 39.2043 Å; angles 90.00, 90.00, 120.00 degrees
Positions (direct):
Te 0.0000 0.0000 0.0000
Te 0.0000 0.0000 0.0952
Te 0.3333 0.6667 0.8120
Te 0.3333 0.6667 0.9072
Mo 0.3333 0.6667 0.6718
W 0.0000 0.0000 0.4839
W 0.0000 0.0000 0.8596
W 0.3333 0.6667 0.0476
Se 0.0000 0.0000 0.6301
Se 0.0000 0.0000 0.7135
Se 0.3333 0.6667 0.4421
Se 0.3333 0.6667 0.5258



[7]
For Te4MoW3Se4, a structure optimized by DFT (PBE) gives the theoretical XRD peak list in this record (Cu Kα (λ = 1.5418 Å)).
Kinematic intensities with the Lorentz-polarization factor, no thermal factor.

The 10 most intense peaks (2θ = 15–90°), low angle first:
two_theta	Rel. int.
30.0	53
32.2	16
35.3	100
36.6	17
42.7	64
44.4	22
53.3	40
65.5	16
75.1	18
89.3	15

Cell and atoms:
Cell lengths 3.4384, 3.4384, 39.1904 Å; angles 90.00, 90.00, 120.00 degrees
Positions (direct):
Te 0.0000 0.0000 0.0000
Te 0.0000 0.0000 0.0952
Te 0.3333 0.6667 0.8121
Te 0.3333 0.6667 0.9072
Mo 0.0000 0.0000 0.4840
W 0.0000 0.0000 0.8596
W 0.3333 0.6667 0.0476
W 0.3333 0.6667 0.6718
Se 0.0000 0.0000 0.6299
Se 0.0000 0.0000 0.7137
Se 0.3333 0.6667 0.4422
Se 0.3333 0.6667 0.5257



[8]
For Te2MoWSe2, a structure optimized by DFT (PBE) gives the theoretical XRD peak list in this record (Cu Kα (λ = 1.5418 Å)).
Kinematic intensities with the Lorentz-polarization factor, no thermal factor.

The 10 most intense peaks (2θ = 15–90°), low angle first:
two_theta	Rel. int.
30.0	56
32.2	15
35.3	100
42.7	62
44.5	20
53.3	37
65.6	16
70.6	14
75.2	17
89.4	15

Cell and atoms:
Cell lengths 3.4362, 3.4362, 39.1175 Å; angles 90.00, 90.00, 120.00 degrees
Positions (direct):
Te 0.0000 0.0000 0.0000
Te 0.0000 0.0000 0.0950
Te 0.0000 0.0000 0.3757
Te 0.0000 0.0000 0.4707
Mo 0.6667 0.3333 0.0475
Mo 0.6667 0.3333 0.4232
W 0.0000 0.0000 0.2354
W 0.0000 0.0000 0.6111
Se 0.6667 0.3333 0.1933
Se 0.6667 0.3333 0.2774
Se 0.6667 0.3333 0.5691
Se 0.6667 0.3333 0.6531



[9]
For Te2MoWSe2, a structure optimized by DFT (PBE) gives the theoretical XRD peak list in this record (Cu Kα (λ = 1.5418 Å)).
Kinematic intensities with the Lorentz-polarization factor, no thermal factor.

The 10 most intense peaks (2θ = 15–90°), low angle first:
two_theta	Rel. int.
30.0	54
32.2	17
35.3	100
42.7	64
44.5	21
53.3	39
65.6	16
70.6	14
75.2	18
89.3	15

Cell and atoms:
Cell lengths 3.4375, 3.4375, 39.1410 Å; angles 90.00, 90.00, 120.00 degrees
Positions (direct):
Te 0.0000 0.0000 0.0000
Te 0.0000 0.0000 0.0953
Te 0.3333 0.6667 0.8124
Te 0.3333 0.6667 0.9071
Mo 0.0000 0.0000 0.4840
Mo 0.0000 0.0000 0.8597
W 0.3333 0.6667 0.0477
W 0.3333 0.6667 0.6719
Se 0.0000 0.0000 0.6300
Se 0.0000 0.0000 0.7138
Se 0.3333 0.6667 0.4422
Se 0.3333 0.6667 0.5258



[10]
For Te4MoW3Se4, a structure optimized by DFT (PBE) gives the theoretical XRD peak list in this record (Cu Kα (λ = 1.5418 Å)).
Kinematic intensities with the Lorentz-polarization factor, no thermal factor.

The 10 most intense peaks (2θ = 15–90°), low angle first:
two_theta	Rel. int.
30.0	52
32.2	16
35.3	100
42.7	63
44.4	22
53.3	37
65.5	16
70.6	14
75.2	17
89.3	15

Cell and atoms:
Cell lengths 3.4378, 3.4378, 39.1638 Å; angles 90.00, 90.00, 120.00 degrees
Positions (direct):
Te 0.0000 0.0000 0.0000
Te 0.0000 0.0000 0.0954
Te 0.3333 0.6667 0.4368
Te 0.3333 0.6667 0.5314
Mo 0.0000 0.0000 0.4841
W 0.0000 0.0000 0.8598
W 0.3333 0.6667 0.0477
W 0.3333 0.6667 0.6720
Se 0.0000 0.0000 0.6300
Se 0.0000 0.0000 0.7139
Se 0.3333 0.6667 0.8179
Se 0.3333 0.6667 0.9018



[11]
For Te2MoWSe2, a structure optimized by DFT (PBE) gives the theoretical XRD peak list in this record (Cu Kα (λ = 1.5418 Å)).
Kinematic intensities with the Lorentz-polarization factor, no thermal factor.

The 10 most intense peaks (2θ = 15–90°), low angle first:
two_theta	Rel. int.
30.0	55
34.1	16
35.3	100
36.6	20
42.7	65
44.4	21
53.3	42
65.5	16
75.2	18
89.3	15

Cell and atoms:
Cell lengths 3.4384, 3.4384, 39.1607 Å; angles 90.00, 90.00, 120.00 degrees
Positions (direct):
Te 0.0000 0.0000 0.0000
Te 0.0000 0.0000 0.0948
Te 0.3333 0.6667 0.1877
Te 0.3333 0.6667 0.2830
Mo 0.0000 0.0000 0.8595
Mo 0.3333 0.6667 0.0474
W 0.0000 0.0000 0.2353
W 0.3333 0.6667 0.4232
Se 0.0000 0.0000 0.3812
Se 0.0000 0.0000 0.4651
Se 0.3333 0.6667 0.8178
Se 0.3333 0.6667 0.9013



[12]
For Te4MoW3Se4, a structure optimized by DFT (PBE) gives the theoretical XRD peak list in this record (Cu Kα (λ = 1.5418 Å)).
Kinematic intensities with the Lorentz-polarization factor, no thermal factor.

The 10 most intense peaks (2θ = 15–90°), low angle first:
two_theta	Rel. int.
30.0	53
32.2	16
35.3	100
42.7	63
44.4	22
53.3	38
65.5	16
70.6	14
75.2	17
89.3	15

Cell and atoms:
Cell lengths 3.4378, 3.4378, 39.1666 Å; angles 90.00, 90.00, 120.00 degrees
Positions (direct):
Te 0.0000 0.0000 0.0000
Te 0.0000 0.0000 0.0947
Te 0.0000 0.0000 0.3754
Te 0.0000 0.0000 0.4708
Mo 0.6667 0.3333 0.0473
W 0.0000 0.0000 0.2352
W 0.0000 0.0000 0.6110
W 0.6667 0.3333 0.4231
Se 0.6667 0.3333 0.1933
Se 0.6667 0.3333 0.2772
Se 0.6667 0.3333 0.5690
Se 0.6667 0.3333 0.6529



[13]
For TeMoWSe3, a structure optimized by DFT (PBE) gives the theoretical XRD peak list in this record (Cu Kα (λ = 1.5418 Å)).
Kinematic intensities with the Lorentz-polarization factor, no thermal factor.

The 10 most intense peaks (2θ = 15–90°), low angle first:
two_theta	Rel. int.
30.5	51
32.7	20
35.9	100
37.2	14
43.5	65
45.2	21
54.2	39
66.7	16
71.9	14
76.7	17

Cell and atoms:
Cell lengths 3.3833, 3.3833, 38.4913 Å; angles 90.00, 90.00, 120.00 degrees
Positions (direct):
Te 0.0000 0.0000 0.0000
Te 0.0000 0.0000 0.0982
Mo 0.0000 0.0000 0.2369
Mo 0.0000 0.0000 0.8612
W 0.3333 0.6667 0.0491
W 0.3333 0.6667 0.4248
Se 0.0000 0.0000 0.3817
Se 0.0000 0.0000 0.4679
Se 0.3333 0.6667 0.1940
Se 0.3333 0.6667 0.2799
Se 0.3333 0.6667 0.8182
Se 0.3333 0.6667 0.9042



[14]
For Te2MoWSe2, a structure optimized by DFT (PBE) gives the theoretical XRD peak list in this record (Cu Kα (λ = 1.5418 Å)).
Kinematic intensities with the Lorentz-polarization factor, no thermal factor.

The 10 most intense peaks (2θ = 15–90°), low angle first:
two_theta	Rel. int.
30.0	44
32.5	22
35.3	100
43.4	72
53.3	33
59.5	14
65.5	17
71.1	18
76.1	21
89.3	15

Cell and atoms:
Cell lengths 3.4400, 3.4400, 14.5767 Å; angles 90.00, 90.00, 120.00 degrees
Positions (direct):
Te 0.0000 0.0000 0.0000
Te 0.3333 0.6667 0.7423
Mo 0.3333 0.6667 0.1282
W 0.0000 0.0000 0.6137
Se 0.0000 0.0000 0.2392
Se 0.3333 0.6667 0.5022